Entry 1:
This entry pairs a crystal structure of La8GePd3I4 with its theoretical PXRD pattern. Radiation: Cu Kα. Structure: a structure optimized by DFT (PBE).
Neutral-atom scattering factors, no anomalous dispersion.

Crystal structure
Cell lengths 8.7530, 8.7530, 9.4440 Å; angles 117.64, 117.64, 59.93 degrees
Sites, in units of the cell vectors:
La (0.2310, 0.7363, 0.7026)
La (0.2320, 0.2320, 0.6948)
La (0.2641, 0.2641, 0.2977)
La (0.2637, 0.7690, 0.2974)
La (0.7363, 0.2310, 0.7026)
La (0.7359, 0.7359, 0.7023)
La (0.7680, 0.7680, 0.3052)
La (0.7690, 0.2637, 0.2974)
Ge (0.5000, 0.5000, 0.5000)
Pd (0.0000, 0.0000, 0.5000)
Pd (0.0000, 0.5000, 0.5000)
Pd (0.5000, 0.0000, 0.5000)
I (0.0000, 0.0000, 0.0000)
I (0.0000, 0.5000, 0.0000)
I (0.5000, 0.0000, 0.0000)
I (0.5000, 0.5000, 0.0000)

Largest 10 diffraction maxima, by intensity, 15° ≤ 2θ ≤ 90°:
| 2θ (°) | d [Å] | intensity |
| --- | --- | --- |
| 27.87 | 3.201 | 100.0 |
| 41.27 | 2.187 | 37.9 |
| 38.34 | 2.348 | 31.6 |
| 50.54 | 1.806 | 19.0 |
| 67.22 | 1.393 | 16.0 |
| 57.59 | 1.600 | 9.5 |
| 30.08 | 2.971 | 9.3 |
| 73.29 | 1.292 | 9.2 |
| 63.09 | 1.474 | 8.4 |
| 54.31 | 1.689 | 8.1 |

=====

Entry 2:
This entry pairs a crystal structure of Rb2LaGeI6 with its theoretical PXRD pattern. Radiation: Cu Kα. Structure: a structure optimized by DFT (PBE).
Neutral-atom scattering factors, no anomalous dispersion.

Crystal structure
Cell lengths 8.8478, 8.8478, 8.8478 Å; angles 118.52, 118.52, 92.59 degrees
Sites, in units of the cell vectors:
Rb (0.2500, 0.7500, 0.5000)
Rb (0.7500, 0.2500, 0.5000)
La (0.0000, 0.0000, 0.0000)
Ge (0.5000, 0.5000, 0.0000)
I (0.2474, 0.2474, 0.4948)
I (0.2474, 0.7526, 0.0000)
I (0.2581, 0.2581, 0.0000)
I (0.7419, 0.7419, 0.0000)
I (0.7526, 0.2474, 0.0000)
I (0.7526, 0.7526, 0.5052)

Largest 10 diffraction maxima, by intensity, 15° ≤ 2θ ≤ 90°:
| 2θ (°) | d [Å] | intensity |
| --- | --- | --- |
| 24.48 | 3.636 | 100.0 |
| 27.90 | 3.198 | 91.3 |
| 40.84 | 2.210 | 64.0 |
| 29.22 | 3.057 | 40.1 |
| 50.18 | 1.818 | 34.9 |
| 39.86 | 2.261 | 34.6 |
| 47.34 | 1.920 | 32.5 |
| 73.04 | 1.295 | 22.6 |
| 65.23 | 1.430 | 15.8 |
| 65.93 | 1.417 | 15.2 |

=====

Entry 3:
This entry pairs a crystal structure of La8Ge3RuI4 with its theoretical PXRD pattern. Radiation: Cu Kα. Structure: a structure optimized by DFT (PBE).
Neutral-atom scattering factors, no anomalous dispersion.

Crystal structure
Cell lengths 8.8885, 8.8885, 9.3784 Å; angles 118.49, 118.49, 59.59 degrees
Sites, in units of the cell vectors:
La (0.2206, 0.7508, 0.6919)
La (0.2296, 0.2296, 0.6999)
La (0.2492, 0.7794, 0.3081)
La (0.2645, 0.2645, 0.2932)
La (0.7355, 0.7355, 0.7068)
La (0.7508, 0.2206, 0.6919)
La (0.7704, 0.7704, 0.3001)
La (0.7794, 0.2492, 0.3081)
Ge (0.0000, 0.5000, 0.5000)
Ge (0.5000, 0.0000, 0.5000)
Ge (0.5000, 0.5000, 0.5000)
Ru (0.0000, 0.0000, 0.5000)
I (0.0000, 0.0000, 0.0000)
I (0.0000, 0.5000, 0.0000)
I (0.5000, 0.0000, 0.0000)
I (0.5000, 0.5000, 0.0000)

Largest 10 diffraction maxima, by intensity, 15° ≤ 2θ ≤ 90°:
| 2θ (°) | d [Å] | intensity |
| --- | --- | --- |
| 27.75 | 3.215 | 100.0 |
| 40.60 | 2.222 | 26.3 |
| 38.63 | 2.331 | 19.8 |
| 50.08 | 1.822 | 12.7 |
| 40.86 | 2.208 | 12.7 |
| 38.49 | 2.339 | 9.3 |
| 30.10 | 2.969 | 8.4 |
| 54.20 | 1.692 | 7.1 |
| 34.34 | 2.612 | 6.7 |
| 56.24 | 1.636 | 6.6 |

=====

Entry 4:
This entry pairs a crystal structure of Li2GeI4 with its theoretical PXRD pattern. Radiation: Cu Kα. Structure: a structure optimized by DFT (PBE).
Neutral-atom scattering factors, no anomalous dispersion.

Crystal structure
Cell lengths 7.9642, 7.9642, 7.9642 Å; angles 131.49, 131.49, 71.03 degrees
Sites, in units of the cell vectors:
Li (0.2500, 0.7500, 0.5000)
Li (0.7500, 0.2500, 0.5000)
Ge (0.0000, 0.0000, 0.0000)
I (0.1306, 0.6132, 0.0000)
I (0.3868, 0.3868, 0.5174)
I (0.6132, 0.1306, 0.0000)
I (0.8694, 0.8694, 0.4826)

Largest 10 diffraction maxima, by intensity, 15° ≤ 2θ ≤ 90°:
| 2θ (°) | d [Å] | intensity |
| --- | --- | --- |
| 23.63 | 3.766 | 100.0 |
| 39.12 | 2.303 | 34.7 |
| 46.05 | 1.971 | 31.9 |
| 27.26 | 3.271 | 23.1 |
| 38.93 | 2.313 | 17.5 |
| 46.38 | 1.958 | 15.8 |
| 62.11 | 1.494 | 12.8 |
| 70.64 | 1.333 | 11.5 |
| 27.52 | 3.241 | 11.3 |
| 48.34 | 1.883 | 9.2 |